# Ti2Ni3Ir2
Theoretical powder diffraction line list, Cu Kα (λ = 1.5418 Å). Input: DFT lattice parameters and positions (GGA-PBE).

Principal peaks in the range 10° ≤ 2θ ≤ 80°, sorted by position:
| h k l | 2θ/deg | intensity |
| --- | --- | --- |
| 1 1 0 | 16.99 | 14.7 |
| 2 0 0 | 24.11 | 49.5 |
| 2 1 1 | 29.64 | 31.0 |
| 2 2 0 | 34.36 | 35.8 |
| 3 0 1 | 38.57 | 67.5 |
| 3 2 1 | 46.00 | 100.0 |
| 4 1 1 | 52.60 | 21.6 |
| 4 3 1 | 64.35 | 31.0 |
| 5 1 2 | 69.78 | 22.0 |
| 6 0 0 | 77.60 | 13.7 |

Structure:
```
data_Ti2Ni3Ir2
_cell_length_a 7.3817
_cell_length_b 7.3817
_cell_length_c 7.3817
_cell_angle_alpha 90.00
_cell_angle_beta 90.00
_cell_angle_gamma 90.00
_space_group_name_H-M_alt 'I 21 3'
_space_group_IT_number 199
_space_group_name_Hall 'I 2b 2c 3'
loop_
_atom_site_label
_atom_site_type_symbol
_atom_site_fract_x
_atom_site_fract_y
_atom_site_fract_z
Ti1 Ti 0.0066 0.4934 0.5066
Ni1 Ni 0.0000 0.2500 0.2249
Ir1 Ir 0.1880 0.3120 0.6880
```